No. 1
The following is a calculated powder diffractogram of DyFe5B3. It was derived from DFT lattice parameters and positions (GGA-PBE), using copper Kα.
Lines closer than 0.1° are merged.

Top 8 peaks for 10° ≤ 2θ ≤ 80°, in order of rising 2θ:
d (Å)	I (rel.)
3.063	54
2.997	89
2.721	47
2.494	78
2.374	100
2.257	52
2.043	83
1.668	36

Atomic structure:
a = 5.872 Å, b = 5.872 Å, c = 10.619 Å
α = 90.00°, β = 90.00°, γ = 146.99°
Sites, in units of the cell vectors:
1 Dy 0.164 0.836 0.750
2 Dy 0.836 0.164 0.250
3 Fe 0.000 0.000 0.000
4 Fe 0.000 0.000 0.500
5 Fe 0.196 0.804 0.060
6 Fe 0.196 0.804 0.440
7 Fe 0.447 0.553 0.644
8 Fe 0.447 0.553 0.856
9 Fe 0.553 0.447 0.144
10 Fe 0.553 0.447 0.356
11 Fe 0.804 0.196 0.560
12 Fe 0.804 0.196 0.940
13 B 0.127 0.873 0.250
14 B 0.380 0.620 0.047
15 B 0.380 0.620 0.453
16 B 0.620 0.380 0.547
17 B 0.620 0.380 0.953
18 B 0.873 0.127 0.750

=====

No. 2
The following is a calculated powder diffractogram of Dy2Fe5SiB2. It was derived from DFT lattice parameters and positions (GGA-PBE), using copper Kα.
Lines closer than 0.1° are merged.

Top 8 peaks for 10° ≤ 2θ ≤ 80°, in order of rising 2θ:
d (Å)	I (rel.)
4.501	27
4.026	52
2.488	27
2.398	100
2.183	87
2.122	33
2.060	66
1.232	26

Atomic structure:
a = 9.001 Å, b = 9.001 Å, c = 2.986 Å
α = 90.00°, β = 90.00°, γ = 90.00°
Sites, in units of the cell vectors:
1 Dy 0.177 0.323 0.000
2 Dy 0.323 0.823 0.000
3 Dy 0.677 0.177 0.000
4 Dy 0.823 0.677 0.000
5 Fe 0.000 0.500 0.500
6 Fe 0.066 0.783 0.500
7 Fe 0.217 0.066 0.500
8 Fe 0.283 0.566 0.500
9 Fe 0.434 0.283 0.500
10 Fe 0.500 0.000 0.500
11 Fe 0.566 0.717 0.500
12 Fe 0.717 0.434 0.500
13 Fe 0.783 0.934 0.500
14 Fe 0.934 0.217 0.500
15 Si 0.000 0.000 0.000
16 Si 0.500 0.500 0.000
17 B 0.120 0.620 0.000
18 B 0.380 0.120 0.000
19 B 0.620 0.880 0.000
20 B 0.880 0.380 0.000

=====

No. 3
The following is a calculated powder diffractogram of DyGa3B4O12. It was derived from DFT lattice parameters and positions (GGA-PBE), using copper Kα.
Lines closer than 0.1° are merged.

Top 8 peaks for 10° ≤ 2θ ≤ 80°, in order of rising 2θ:
d (Å)	I (rel.)
5.569	22
4.772	23
3.624	92
2.886	25
2.785	100
2.386	27
1.959	22
1.730	30

Atomic structure:
a = 6.056 Å, b = 6.056 Å, c = 6.056 Å
α = 104.00°, β = 104.00°, γ = 104.00°
Sites, in units of the cell vectors:
1 Dy 0.000 0.000 0.000
2 Ga 0.000 0.550 0.450
3 Ga 0.450 0.000 0.550
4 Ga 0.550 0.450 0.000
5 B 0.052 0.500 0.948
6 B 0.500 0.500 0.500
7 B 0.500 0.948 0.052
8 B 0.948 0.052 0.500
9 O 0.028 0.632 0.792
10 O 0.093 0.907 0.500
11 O 0.208 0.368 0.972
12 O 0.355 0.645 0.500
13 O 0.368 0.972 0.208
14 O 0.500 0.093 0.907
15 O 0.500 0.355 0.645
16 O 0.632 0.792 0.028
17 O 0.645 0.500 0.355
18 O 0.792 0.028 0.632
19 O 0.907 0.500 0.093
20 O 0.972 0.208 0.368

=====

No. 4
The following is a calculated powder diffractogram of Dy2GaBPt6. It was derived from DFT lattice parameters and positions (GGA-PBE), using copper Kα.
Lines closer than 0.1° are merged.

Top 8 peaks for 10° ≤ 2θ ≤ 80°, in order of rising 2θ:
d (Å)	I (rel.)
3.080	23
2.795	57
2.507	38
2.369	100
2.243	49
2.171	25
2.158	43
1.556	29

Atomic structure:
a = 5.668 Å, b = 8.633 Å, c = 7.337 Å
α = 90.00°, β = 90.00°, γ = 90.00°
Sites, in units of the cell vectors:
1 Dy 0.250 0.034 0.215
2 Dy 0.250 0.466 0.215
3 Dy 0.750 0.534 0.785
4 Dy 0.750 0.966 0.785
5 Ga 0.250 0.750 0.820
6 Ga 0.750 0.250 0.180
7 B 0.250 0.250 0.692
8 B 0.750 0.750 0.308
9 Pt 0.001 0.250 0.904
10 Pt 0.009 0.750 0.516
11 Pt 0.250 0.005 0.645
12 Pt 0.250 0.495 0.645
13 Pt 0.491 0.750 0.516
14 Pt 0.499 0.250 0.904
15 Pt 0.501 0.750 0.096
16 Pt 0.509 0.250 0.484
17 Pt 0.750 0.505 0.355
18 Pt 0.750 0.995 0.355
19 Pt 0.991 0.250 0.484
20 Pt 0.999 0.750 0.096

=====

No. 5
The following is a calculated powder diffractogram of DyGeBRh3. It was derived from DFT lattice parameters and positions (GGA-PBE), using copper Kα.
Lines closer than 0.1° are merged.

Top 8 peaks for 10° ≤ 2θ ≤ 80°, in order of rising 2θ:
d (Å)	I (rel.)
3.023	32
2.855	48
2.597	100
2.574	97
2.075	47
2.022	81
1.681	23
1.247	23

Atomic structure:
a = 6.681 Å, b = 6.681 Å, c = 5.750 Å
α = 90.00°, β = 90.00°, γ = 129.61°
Sites, in units of the cell vectors:
1 Dy 0.242 0.758 0.750
2 Dy 0.758 0.242 0.250
3 Ge 0.126 0.874 0.250
4 Ge 0.874 0.126 0.750
5 B 0.493 0.507 0.250
6 B 0.507 0.493 0.750
7 Rh 0.246 0.246 0.000
8 Rh 0.246 0.246 0.500
9 Rh 0.320 0.680 0.250
10 Rh 0.680 0.320 0.750
11 Rh 0.754 0.754 0.000
12 Rh 0.754 0.754 0.500

=====

No. 6
The following is a calculated powder diffractogram of Dy4B6Ir7. It was derived from DFT lattice parameters and positions (GGA-PBE), using copper Kα.
Lines closer than 0.1° are merged.

Top 8 peaks for 10° ≤ 2θ ≤ 80°, in order of rising 2θ:
d (Å)	I (rel.)
5.649	22
3.261	88
2.824	23
2.306	100
2.135	61
1.997	76
1.412	49
1.204	38

Atomic structure:
a = 6.918 Å, b = 6.918 Å, c = 6.918 Å
α = 109.47°, β = 109.47°, γ = 109.47°
Sites, in units of the cell vectors:
1 Dy 0.000 0.000 0.500
2 Dy 0.000 0.500 0.000
3 Dy 0.500 0.000 0.000
4 Dy 0.500 0.500 0.500
5 B 0.000 0.367 0.367
6 B 0.000 0.633 0.633
7 B 0.367 0.000 0.367
8 B 0.367 0.367 0.000
9 B 0.633 0.000 0.633
10 B 0.633 0.633 0.000
11 Ir 0.000 0.000 0.000
12 Ir 0.250 0.500 0.750
13 Ir 0.250 0.750 0.500
14 Ir 0.500 0.250 0.750
15 Ir 0.500 0.750 0.250
16 Ir 0.750 0.250 0.500
17 Ir 0.750 0.500 0.250

=====

No. 7
The following is a calculated powder diffractogram of DyB4Ir2Rh2. It was derived from DFT lattice parameters and positions (GGA-PBE), using copper Kα.
Lines closer than 0.1° are merged.

Top 8 peaks for 10° ≤ 2θ ≤ 80°, in order of rising 2θ:
d (Å)	I (rel.)
3.067	54
2.527	100
2.286	91
2.259	68
2.020	41
1.899	20
1.461	22
1.332	31

Atomic structure:
a = 5.370 Å, b = 5.370 Å, c = 7.471 Å
α = 90.00°, β = 90.00°, γ = 90.00°
Sites, in units of the cell vectors:
1 Dy 0.000 0.500 0.000
2 Dy 0.500 0.000 0.500
3 B 0.000 0.170 0.352
4 B 0.000 0.830 0.352
5 B 0.170 0.000 0.852
6 B 0.329 0.500 0.655
7 B 0.500 0.329 0.155
8 B 0.500 0.671 0.155
9 B 0.671 0.500 0.655
10 B 0.830 0.000 0.852
11 Ir 0.248 0.500 0.357
12 Ir 0.500 0.248 0.857
13 Ir 0.500 0.752 0.857
14 Ir 0.752 0.500 0.357
15 Rh 0.000 0.251 0.647
16 Rh 0.000 0.749 0.647
17 Rh 0.251 0.000 0.147
18 Rh 0.749 0.000 0.147

=====

No. 8
The following is a calculated powder diffractogram of KDy2B2S6. It was derived from DFT lattice parameters and positions (GGA-PBE), using copper Kα.
Lines closer than 0.1° are merged.

Top 8 peaks for 10° ≤ 2θ ≤ 80°, in order of rising 2θ:
d (Å)	I (rel.)
7.887	100
4.754	15
4.265	17
3.902	12
2.895	19
2.807	15
2.798	12
2.461	15

Atomic structure:
a = 5.580 Å, b = 6.395 Å, c = 7.983 Å
α = 90.24°, β = 98.40°, γ = 107.25°
Sites, in units of the cell vectors:
1 K 0.000 0.000 0.000
2 Dy 0.267 0.718 0.507
3 Dy 0.733 0.282 0.493
4 B 0.273 0.255 0.648
5 B 0.727 0.745 0.352
6 S 0.134 0.421 0.765
7 S 0.217 0.271 0.414
8 S 0.447 0.072 0.742
9 S 0.553 0.928 0.258
10 S 0.783 0.729 0.586
11 S 0.866 0.579 0.235

=====

No. 9
The following is a calculated powder diffractogram of LiDyB4. It was derived from DFT lattice parameters and positions (GGA-PBE), using copper Kα.
Lines closer than 0.1° are merged.

Top 8 peaks for 10° ≤ 2θ ≤ 80°, in order of rising 2θ:
d (Å)	I (rel.)
5.264	64
4.103	100
3.627	62
3.190	57
2.875	63
2.717	84
2.395	66
2.253	85

Atomic structure:
a = 5.943 Å, b = 11.342 Å, c = 3.627 Å
α = 90.00°, β = 90.00°, γ = 90.00°
Sites, in units of the cell vectors:
1 Li 0.129 0.085 0.000
2 Li 0.371 0.585 0.000
3 Li 0.629 0.415 0.000
4 Li 0.871 0.915 0.000
5 Dy 0.125 0.349 0.000
6 Dy 0.375 0.849 0.000
7 Dy 0.625 0.151 0.000
8 Dy 0.875 0.651 0.000
9 B 0.026 0.807 0.500
10 B 0.115 0.955 0.500
11 B 0.133 0.530 0.500
12 B 0.215 0.687 0.500
13 B 0.285 0.187 0.500
14 B 0.367 0.030 0.500
15 B 0.385 0.455 0.500
16 B 0.474 0.307 0.500
17 B 0.526 0.693 0.500
18 B 0.615 0.545 0.500
19 B 0.633 0.970 0.500
20 B 0.715 0.813 0.500
21 B 0.785 0.313 0.500
22 B 0.867 0.470 0.500
23 B 0.885 0.045 0.500
24 B 0.974 0.193 0.500

=====

No. 10
The following is a calculated powder diffractogram of LiDy2B2Rh5. It was derived from DFT lattice parameters and positions (GGA-PBE), using copper Kα.
Lines closer than 0.1° are merged.

Top 8 peaks for 10° ≤ 2θ ≤ 80°, in order of rising 2θ:
d (Å)	I (rel.)
6.708	24
2.646	24
2.548	100
2.301	91
2.236	33
2.185	68
2.029	30
1.310	30

Atomic structure:
a = 9.487 Å, b = 9.487 Å, c = 3.187 Å
α = 90.00°, β = 90.00°, γ = 90.00°
Sites, in units of the cell vectors:
1 Li 0.000 0.000 0.000
2 Li 0.500 0.500 0.000
3 Dy 0.175 0.325 0.000
4 Dy 0.325 0.825 0.000
5 Dy 0.675 0.175 0.000
6 Dy 0.825 0.675 0.000
7 B 0.125 0.625 0.000
8 B 0.375 0.125 0.000
9 B 0.625 0.875 0.000
10 B 0.875 0.375 0.000
11 Rh 0.000 0.500 0.500
12 Rh 0.070 0.780 0.500
13 Rh 0.220 0.070 0.500
14 Rh 0.280 0.570 0.500
15 Rh 0.430 0.280 0.500
16 Rh 0.500 0.000 0.500
17 Rh 0.570 0.720 0.500
18 Rh 0.720 0.430 0.500
19 Rh 0.780 0.930 0.500
20 Rh 0.930 0.220 0.500

=====

No. 11
The following is a calculated powder diffractogram of Li2DyBS4. It was derived from DFT lattice parameters and positions (GGA-PBE), using copper Kα.
Lines closer than 0.1° are merged.

Top 8 peaks for 10° ≤ 2θ ≤ 80°, in order of rising 2θ:
d (Å)	I (rel.)
6.309	100
5.739	32
3.414	28
3.055	27
2.962	29
2.869	24
2.461	17
2.264	17

Atomic structure:
a = 7.564 Å, b = 7.564 Å, c = 7.680 Å
α = 114.49°, β = 114.49°, γ = 98.70°
Sites, in units of the cell vectors:
1 Li 0.000 0.000 0.000
2 Li 0.000 0.000 0.500
3 Li 0.000 0.500 0.000
4 Li 0.500 0.000 0.500
5 Dy 0.000 0.500 0.500
6 Dy 0.500 0.000 0.000
7 B 0.500 0.500 0.000
8 B 0.500 0.500 0.500
9 S 0.179 0.760 0.963
10 S 0.240 0.821 0.537
11 S 0.307 0.309 0.455
12 S 0.309 0.307 0.955
13 S 0.691 0.693 0.045
14 S 0.693 0.691 0.545
15 S 0.760 0.179 0.463
16 S 0.821 0.240 0.037